Record 1
# LiLaTe2
Calculated powder diffraction line list, Cu Kα (weighted mean of Kα1 and Kα2). Input: a structure optimized by DFT (GGA-PBE).
Peak positions follow from Bragg's law for the DFT cell and can differ from measured ones.

The 10 most intense peaks (2θ = 10–80°), in order of rising 2θ:
2θ (°)  I (rel.)  hkl
19.60  57  0 2 1
27.78  80  1 1 1
27.95  54  0 8 0
29.53  84  1 3 1
32.02  62  1 7 0
32.76  56  1 5 1
37.13  100  0 0 2
39.91  33  0 10 1
41.51  31  2 0 0
49.82  36  1 7 2

Cell and atoms:
```
data_LiLaTe2
_chemical_formula_sum 'Li4 La4 Te8'
_symmetry_space_group_name_H-M 'C m c m'
_symmetry_Int_Tables_number 63
_symmetry_space_group_name_Hall '-C 2c 2'
_cell_length_a 4.351
_cell_length_b 25.537
_cell_length_c 4.843
_cell_angle_alpha 90.00
_cell_angle_beta 90.00
_cell_angle_gamma 90.00
loop_
_atom_site_label
_atom_site_fract_x
_atom_site_fract_y
_atom_site_fract_z
_atom_site_occupancy
Li1 0.000 0.033 0.250 1
La1 0.000 0.330 0.250 1
Te1 0.000 0.076 0.750 1
Te2 0.000 0.200 0.250 1
```

=====

Record 2
# Mg2ZnCu2
Calculated powder diffraction line list, Cu Kα (weighted mean of Kα1 and Kα2). Input: a structure optimized by DFT (GGA-PBE).
Peak positions follow from Bragg's law for the DFT cell and can differ from measured ones.

The 10 most intense peaks (2θ = 10–80°), in order of rising 2θ:
2θ (°)  I (rel.)  hkl
21.42  19  0 0 3
24.28  26  0 1 2
39.12  50  1 0 3
39.73  56  0 2 0
40.85  100  1 1 2
41.37  96  0 1 5
56.99  31  1 2 3
72.84  27  1 3 2
73.23  16  0 3 5
76.24  14  1 2 7

Cell and atoms:
```
data_Mg2ZnCu2
_chemical_formula_sum 'Mg4 Zn2 Cu4'
_symmetry_space_group_name_H-M 'P m m n'
_symmetry_Int_Tables_number 59
_cell_length_a 2.768
_cell_length_b 4.537
_cell_length_c 12.446
_cell_angle_alpha 90.00
_cell_angle_beta 90.00
_cell_angle_gamma 90.00
loop_
_symmetry_equiv_pos_as_xyz
'x,y,z'
'-x,-y,-z'
'-x+1/2,-y+1/2,z'
'x+1/2,y+1/2,-z'
'x+1/2,-y,-z'
'-x+1/2,y,z'
'-x,y+1/2,-z'
'x,-y+1/2,z'
loop_
_atom_site_label
_atom_site_fract_x
_atom_site_fract_y
_atom_site_fract_z
_atom_site_occupancy
Mg1 0.250 0.250 0.049 1
Mg2 0.250 0.750 0.357 1
Zn1 0.250 0.750 0.743 1
Cu1 0.250 0.250 0.459 1
Cu2 0.250 0.750 0.152 1
```

=====

Record 3
# PaZn10Ni2
Calculated powder diffraction line list, Cu Kα (weighted mean of Kα1 and Kα2). Input: a structure optimized by DFT (GGA-PBE).
Peak positions follow from Bragg's law for the DFT cell and can differ from measured ones.

The 10 most intense peaks (2θ = 10–80°), in order of rising 2θ:
2θ (°)  I (rel.)  hkl
28.66  29  2 2 1
35.04  37  0 4 0
35.65  44  0 2 3
38.04  64  3 1 2
40.54  24  3 3 0
40.78  47  2 4 0
40.97  100  4 0 0
41.30  84  2 2 3
41.63  38  0 0 4
46.05  31  2 4 2

Cell and atoms:
```
data_PaZn10Ni2
_chemical_formula_sum 'Pa4 Zn40 Ni8'
_symmetry_space_group_name_H-M 'C m c m'
_symmetry_Int_Tables_number 63
_symmetry_space_group_name_Hall '-C 2c 2'
_cell_length_a 8.805
_cell_length_b 10.236
_cell_length_c 8.679
_cell_angle_alpha 90.00
_cell_angle_beta 90.00
_cell_angle_gamma 90.00
loop_
_atom_site_label
_atom_site_fract_x
_atom_site_fract_y
_atom_site_fract_z
_atom_site_occupancy
Pa1 0.000 0.125 0.250 1
Zn1 0.000 0.153 0.602 1
Zn2 0.000 0.375 0.042 1
Zn3 0.152 0.374 0.750 1
Zn4 0.226 0.000 0.000 1
Zn5 0.226 0.369 0.250 1
Ni1 0.250 0.250 0.000 1
```

=====

Record 4
# Dy5Er3Th3
Calculated powder diffraction line list, Cu Kα (weighted mean of Kα1 and Kα2). Input: a structure optimized by DFT (GGA-PBE).
Peak positions follow from Bragg's law for the DFT cell and can differ from measured ones.

The 10 most intense peaks (2θ = 10–80°), in order of rising 2θ:
2θ (°)  I (rel.)  hkl
27.25  19  1 5 0
27.92  15  2 2 -1
31.06  37  4 0 0
31.46  16  0 6 0
33.25  100  1 3 1
35.19  22  2 6 0
44.80  13  4 6 0
56.63  11  5 3 1
56.69  11  7 3 -1
60.51  11  2 0 2

Cell and atoms:
```
data_Dy5Er3Th3
_chemical_formula_sum 'Dy10 Er6 Th6'
_symmetry_space_group_name_H-M 'C 1 m 1'
_symmetry_Int_Tables_number 8
_symmetry_space_group_name_Hall 'C -2y'
_cell_length_a 12.066
_cell_length_b 17.064
_cell_length_c 3.612
_cell_angle_alpha 90.00
_cell_angle_beta 107.35
_cell_angle_gamma 90.00
loop_
_atom_site_label
_atom_site_fract_x
_atom_site_fract_y
_atom_site_fract_z
_atom_site_occupancy
Dy1 0.000 0.000 0.000 1
Dy2 0.010 0.334 0.010 1
Dy3 0.256 0.200 0.256 1
Er1 0.004 0.500 0.502 1
Er2 0.259 0.385 0.759 1
Th1 0.003 0.167 0.503 1
Th2 0.251 0.000 0.750 1
```

=====

Record 5
# Ta2CdIF
Calculated powder diffraction line list, Cu Kα (weighted mean of Kα1 and Kα2). Input: a structure optimized by DFT (GGA-PBE).
Peak positions follow from Bragg's law for the DFT cell and can differ from measured ones.

The 10 most intense peaks (2θ = 10–80°), in order of rising 2θ:
2θ (°)  I (rel.)  hkl
16.28  8  0 0 1
32.90  30  0 0 2
33.61  100  1 1 1
41.76  31  2 0 0
54.16  29  2 0 2
59.19  20  1 1 3
60.54  10  2 2 0
68.98  3  0 0 4
70.64  13  2 2 2
71.05  23  3 1 1

Cell and atoms:
```
data_Ta2CdIF
_chemical_formula_sum 'Ta2 Cd1 I1 F1'
_symmetry_space_group_name_H-M 'P 4/m m m'
_symmetry_Int_Tables_number 123
_symmetry_space_group_name_Hall '-P 4 2'
_cell_length_a 4.326
_cell_length_b 4.326
_cell_length_c 5.445
_cell_angle_alpha 90.00
_cell_angle_beta 90.00
_cell_angle_gamma 90.00
loop_
_atom_site_label
_atom_site_fract_x
_atom_site_fract_y
_atom_site_fract_z
_atom_site_occupancy
Ta1 0.000 0.500 0.000 1
Cd1 0.000 0.000 0.500 1
I1 0.500 0.500 0.500 1
F1 0.000 0.000 0.000 1
```

=====

Record 6
# Er3TmSn2
Calculated powder diffraction line list, Cu Kα (weighted mean of Kα1 and Kα2). Input: a structure optimized by DFT (GGA-PBE).
Peak positions follow from Bragg's law for the DFT cell and can differ from measured ones.

The 10 most intense peaks (2θ = 10–80°), in order of rising 2θ:
2θ (°)  I (rel.)  hkl
29.21  16  1 0 2
30.10  100  1 1 1
32.17  41  0 0 3
35.51  96  1 1 2
40.14  60  2 0 0
52.34  42  2 0 3
58.07  21  2 2 0
66.79  21  3 1 1
67.95  19  2 2 3
69.94  27  3 1 2

Cell and atoms:
```
data_Er3TmSn2
_chemical_formula_sum 'Er3 Tm1 Sn2'
_symmetry_space_group_name_H-M 'P -4 m 2'
_symmetry_Int_Tables_number 115
_symmetry_space_group_name_Hall 'P -4 -2'
_cell_length_a 4.493
_cell_length_b 4.493
_cell_length_c 8.347
_cell_angle_alpha 90.00
_cell_angle_beta 90.00
_cell_angle_gamma 90.00
loop_
_atom_site_label
_atom_site_fract_x
_atom_site_fract_y
_atom_site_fract_z
_atom_site_occupancy
Er1 0.000 0.000 0.000 1
Er2 0.000 0.500 0.656 1
Tm1 0.500 0.500 0.000 1
Sn1 0.000 0.500 0.280 1
```